(1)
Diffraction record for LiPm6S5. The powder diffraction line list is theoretical, not measured: it uses a structure optimized by DFT (GGA-PBE) and Cu Kα X-rays.
Intensities are scaled so that the largest is 100.

```
data_LiPm6S5
_symmetry_space_group_name_H-M 'P 63/m c m'
_symmetry_Int_Tables_number 193
_symmetry_space_group_name_Hall '-P 6c 2'
_cell_length_a 6.8316
_cell_length_b 6.8316
_cell_length_c 14.1286
_cell_angle_alpha 90.00
_cell_angle_beta 90.00
_cell_angle_gamma 120.00
loop_
_atom_site_label
_atom_site_fract_x
_atom_site_fract_y
_atom_site_fract_z
_atom_site_occupancy
Li1 0.0000 0.0000 0.2500 1
Pm1 0.0000 0.3420 0.1153 1
S1 0.0000 0.3354 0.7500 1
S2 0.3333 0.6667 0.0000 1
```

The 10 most intense peaks (10° ≤ 2θ ≤ 80°), in order of rising 2θ:
- 2θ 25.21, I 28, (0 0 4)
- 2θ 26.09, I 30, (1 1 0)
- 2θ 26.85, I 55, (1 1 1)
- 2θ 32.38, I 100, (1 1 3)
- 2θ 36.60, I 28, (1 1 4)
- 2θ 41.47, I 19, (1 1 5)
- 2θ 46.02, I 40, (3 0 0)
- 2θ 52.67, I 20, (1 1 7)
- 2θ 53.19, I 23, (3 0 4)
- 2θ 57.39, I 19, (2 2 3)

(2)
Diffraction record for Li2PmSiS4. The powder diffraction line list is theoretical, not measured: it uses a structure optimized by DFT (GGA-PBE) and Cu Kα X-rays.
Intensities are scaled so that the largest is 100.

```
data_Li2PmSiS4
_symmetry_space_group_name_H-M 'I m m a'
_symmetry_Int_Tables_number 74
_symmetry_space_group_name_Hall '-I 2b 2'
_cell_length_a 7.2907
_cell_length_b 7.8254
_cell_length_c 10.7702
_cell_angle_alpha 90.00
_cell_angle_beta 90.00
_cell_angle_gamma 90.00
loop_
_atom_site_label
_atom_site_fract_x
_atom_site_fract_y
_atom_site_fract_z
_atom_site_occupancy
Li1 0.0000 0.0000 0.0000 1
Li2 0.2500 0.2500 0.2500 1
Pm1 0.0000 0.0000 0.5000 1
Si1 0.2500 0.2500 0.7500 1
S1 0.0000 0.0294 0.7566 1
S2 0.2357 0.2500 0.9823 1
```

The 10 most intense peaks (10° ≤ 2θ ≤ 80°), in order of rising 2θ:
- 2θ 13.99, I 15, (0 1 1)
- 2θ 14.67, I 100, (1 0 1)
- 2θ 16.46, I 29, (0 0 2)
- 2θ 27.16, I 57, (1 2 1)
- 2θ 27.70, I 27, (1 0 3)
- 2θ 33.27, I 39, (0 0 4)
- 2θ 33.60, I 77, (2 2 0)
- 2θ 36.12, I 31, (1 2 3)
- 2θ 37.63, I 17, (2 2 2)
- 2θ 48.01, I 51, (2 2 4)

(3)
Diffraction record for LiTbPm2S5. The powder diffraction line list is theoretical, not measured: it uses a structure optimized by DFT (GGA-PBE) and Cu Kα X-rays.
Intensities are scaled so that the largest is 100.

```
data_LiTbPm2S5
_symmetry_space_group_name_H-M 'C m c 21'
_symmetry_Int_Tables_number 36
_symmetry_space_group_name_Hall 'C 2c -2'
_cell_length_a 3.9700
_cell_length_b 16.4645
_cell_length_c 11.8991
_cell_angle_alpha 90.00
_cell_angle_beta 90.00
_cell_angle_gamma 90.00
loop_
_atom_site_label
_atom_site_fract_x
_atom_site_fract_y
_atom_site_fract_z
_atom_site_occupancy
Li1 0.0000 0.0136 0.0000 1
Tb1 0.0000 0.3028 0.5192 1
Pm1 0.0000 0.3763 0.8144 1
Pm2 0.0000 0.3919 0.2026 1
S1 0.0000 0.0008 0.8021 1
S2 0.0000 0.1368 0.5167 1
S3 0.0000 0.1922 0.8601 1
S4 0.0000 0.2126 0.1792 1
S5 0.0000 0.4539 0.5896 1
```

The 10 most intense peaks (10° ≤ 2θ ≤ 80°), in order of rising 2θ:
- 2θ 18.40, I 23, (0 2 2)
- 2θ 22.86, I 22, (0 4 1)
- 2θ 23.04, I 35, (1 1 0)
- 2θ 24.92, I 46, (0 2 3)
- 2θ 27.73, I 25, (1 3 0)
- 2θ 32.37, I 100, (1 1 3)
- 2θ 33.51, I 30, (0 6 1)
- 2θ 38.61, I 63, (1 5 2)
- 2θ 45.72, I 30, (2 0 0)
- 2θ 47.50, I 31, (1 3 5)

(4)
Diffraction record for LiPm4YS8. The powder diffraction line list is theoretical, not measured: it uses a structure optimized by DFT (GGA-PBE) and Cu Kα X-rays.
Intensities are scaled so that the largest is 100.

```
data_LiPm4YS8
_symmetry_space_group_name_H-M 'R 3 m'
_symmetry_Int_Tables_number 160
_symmetry_space_group_name_Hall 'R 3 -2"'
_cell_length_a 8.2277
_cell_length_b 8.2277
_cell_length_c 19.9054
_cell_angle_alpha 90.00
_cell_angle_beta 90.00
_cell_angle_gamma 120.00
loop_
_atom_site_label
_atom_site_fract_x
_atom_site_fract_y
_atom_site_fract_z
_atom_site_occupancy
Li1 0.0000 0.0000 0.0000 1
Pm1 0.0000 0.0000 0.2499 1
Pm2 0.1723 0.3445 0.4578 1
Y1 0.0000 0.0000 0.6306 1
S1 0.0000 0.0000 0.3842 1
S2 0.0000 0.0000 0.8701 1
S3 0.0203 0.5101 0.3763 1
S4 0.1803 0.3605 0.2085 1
```

The 10 most intense peaks (10° ≤ 2θ ≤ 80°), in order of rising 2θ:
- 2θ 13.20, I 31, (1 0 1)
- 2θ 13.34, I 23, (0 0 3)
- 2θ 15.29, I 22, (0 1 2)
- 2θ 25.44, I 100, (0 2 1)
- 2θ 25.63, I 27, (0 1 5)
- 2θ 26.57, I 17, (2 0 2)
- 2θ 30.87, I 55, (0 2 4)
- 2θ 40.44, I 23, (1 2 5)
- 2θ 44.02, I 42, (2 2 0)
- 2θ 44.41, I 42, (2 0 8)